[1]
The following is a calculated X-ray diffraction stick pattern of CaMn4Co2O12. It was derived from a DFT-relaxed cell (PBE+U, Alexandria), using Cu Kα (weighted mean of Kα1 and Kα2).

Structure:
Cell: 8.8412 5.0219 10.8021 Å, 90.00 99.74 90.00°
Space group C2 (No. 5)
Symmetry-distinct sites (fractional):
Ca 0.0000 0.0000 0.0000 (multiplicity 2)
Mn 0.0385 0.6558 0.2633 (multiplicity 4)
Mn 0.1268 0.1515 0.7372 (multiplicity 4)
Co 0.2066 0.1534 0.2675 (multiplicity 4)
O 0.0212 0.3155 0.1677 (multiplicity 4)
O 0.0442 0.9751 0.3565 (multiplicity 4)
O 0.1075 0.4888 0.6497 (multiplicity 4)
O 0.1328 0.8348 0.8416 (multiplicity 4)
O 0.1845 0.8267 0.1685 (multiplicity 4)
O 0.2254 0.4889 0.3503 (multiplicity 4)

The 8 most intense peaks (10 to 90 degrees two-theta), low angle first:
- 16.65 deg, I = 1000, hkl 0 0 2
- 35.73 deg, I = 105, hkl 0 2 0
- 37.25 deg, I = 129, hkl 3 1 -2
- 37.96 deg, I = 98, hkl 3 1 1
- 39.69 deg, I = 148, hkl 0 2 2
- 45.88 deg, I = 114, hkl 3 1 -4
- 49.93 deg, I = 99, hkl 0 2 4
- 64.25 deg, I = 97, hkl 3 3 0

=====

[2]
The following is a calculated X-ray diffraction stick pattern of CaMn4Co2O12. It was derived from a DFT-relaxed cell (PBE+U, Alexandria), using Cu Kα (weighted mean of Kα1 and Kα2).

Structure:
Cell: 5.0070 5.0121 10.7894 Å, 82.77 88.45 60.69°
Space group P1 (No. 1)
Symmetry-distinct sites (fractional):
Ca 0.0000 0.0000 0.0000 (multiplicity 1)
Mn 0.0448 0.2474 0.2618 (multiplicity 1)
Mn 0.3799 0.5781 0.2614 (multiplicity 1)
Mn 0.6137 0.1125 0.7373 (multiplicity 1)
Mn 0.9443 0.4433 0.7373 (multiplicity 1)
Co 0.2783 0.7795 0.7332 (multiplicity 1)
Co 0.7098 0.9138 0.2577 (multiplicity 1)
O 0.0348 0.6150 0.1634 (multiplicity 1)
O 0.0515 0.8840 0.3480 (multiplicity 1)
O 0.2743 0.4686 0.6497 (multiplicity 1)
O 0.2850 0.0773 0.8327 (multiplicity 1)
O 0.3594 0.9454 0.1625 (multiplicity 1)
O 0.3898 0.2151 0.3480 (multiplicity 1)
O 0.6076 0.8021 0.6497 (multiplicity 1)
O 0.6537 0.3799 0.8420 (multiplicity 1)
O 0.7059 0.2740 0.1636 (multiplicity 1)
O 0.7203 0.5538 0.3481 (multiplicity 1)
O 0.9097 0.1682 0.6435 (multiplicity 1)
O 0.9586 0.7510 0.8327 (multiplicity 1)

The 8 most intense peaks (10 to 90 degrees two-theta), low angle first:
- 16.58 deg, I = 1000, hkl 0 0 2
- 35.86 deg, I = 76, hkl 2 1 0
- 37.48 deg, I = 63, hkl 1 -1 1
- 37.96 deg, I = 86, hkl -1 1 2
- 39.31 deg, I = 76, hkl 2 1 2
- 40.23 deg, I = 76, hkl 2 1 -2
- 47.10 deg, I = 96, hkl 1 2 -3
- 60.58 deg, I = 68, hkl 1 2 -5